# 1
Diffraction record for SrMg14CO16. The powder X-ray diffraction pattern is simulated, not measured: it uses the GGA-PBE geometry in the Materials Project and copper Kα.
Kinematic intensities with the Lorentz-polarization factor, no thermal factor.

Crystal structure
a = 4.3745 Å, b = 8.5994 Å, c = 8.6518 Å
α = 90.00°, β = 90.00°, γ = 90.00°
Atoms (fractional coordinates):
Sr 0.0000 0.0000 0.0000
Mg 0.0000 0.0000 0.5000
Mg 0.0000 0.2574 0.2538
Mg 0.0000 0.2574 0.7462
Mg 0.0000 0.5000 0.5000
Mg 0.0000 0.7426 0.2538
Mg 0.0000 0.7426 0.7462
Mg 0.5000 0.0000 0.2590
Mg 0.5000 0.0000 0.7410
Mg 0.5000 0.2518 0.5000
Mg 0.5000 0.2621 0.0000
Mg 0.5000 0.5000 0.2474
Mg 0.5000 0.5000 0.7526
Mg 0.5000 0.7379 0.0000
Mg 0.5000 0.7482 0.5000
C 0.0000 0.5000 0.0000
O 0.0000 0.0000 0.2710
O 0.0000 0.0000 0.7290
O 0.0000 0.2547 0.5000
O 0.0000 0.2723 0.0000
O 0.0000 0.5000 0.2560
O 0.0000 0.5000 0.7440
O 0.0000 0.7277 0.0000
O 0.0000 0.7453 0.5000
O 0.5000 0.0000 0.0000
O 0.5000 0.0000 0.5000
O 0.5000 0.2505 0.2485
O 0.5000 0.2505 0.7515
O 0.5000 0.5000 0.0000
O 0.5000 0.5000 0.5000
O 0.5000 0.7495 0.2485
O 0.5000 0.7495 0.7515

Main lines, by intensity (2θ from 5° to 70°):
| 2θ (°) | I_rel |
| --- | --- |
| 41.3 | 100 |
| 41.8 | 95 |
| 42.0 | 92 |
| 60.2 | 55 |
| 60.4 | 54 |
| 60.7 | 52 |
| 35.9 | 45 |
| 10.3 | 28 |
| 14.5 | 20 |
| 25.1 | 18 |

# 2
Diffraction record for NaCd3. The powder X-ray diffraction pattern is simulated, not measured: it uses the GGA-PBE geometry in the Materials Project and copper Kα.
Kinematic intensities with the Lorentz-polarization factor, no thermal factor.

Crystal structure
a = 4.5893 Å, b = 4.5893 Å, c = 9.0408 Å
α = 90.00°, β = 90.00°, γ = 90.00°
Atoms (fractional coordinates):
Na 0.0000 0.0000 0.0000
Na 0.5000 0.5000 0.5000
Cd 0.0000 0.0000 0.5000
Cd 0.0000 0.5000 0.2500
Cd 0.0000 0.5000 0.7500
Cd 0.5000 0.0000 0.2500
Cd 0.5000 0.0000 0.7500
Cd 0.5000 0.5000 0.0000

Main lines, by intensity (2θ from 5° to 70°):
| 2θ (°) | I_rel |
| --- | --- |
| 34.0 | 100 |
| 39.3 | 33 |
| 67.8 | 25 |
| 57.2 | 21 |
| 21.7 | 19 |
| 39.9 | 16 |
| 68.7 | 12 |
| 56.7 | 11 |
| 19.6 | 6 |
| 45.3 | 5 |

# 3
Diffraction record for Al3Tc2. The powder X-ray diffraction pattern is simulated, not measured: it uses the GGA-PBE geometry in the Materials Project and copper Kα.
Kinematic intensities with the Lorentz-polarization factor, no thermal factor.

Crystal structure
a = 4.3561 Å, b = 4.3561 Å, c = 5.1210 Å
α = 90.00°, β = 90.00°, γ = 120.00°
Atoms (fractional coordinates):
Al 0.0000 0.0000 0.0000
Al 0.3333 0.6667 0.3919
Al 0.6667 0.3333 0.6081
Tc 0.3333 0.6667 0.8962
Tc 0.6667 0.3333 0.1038

Main lines, by intensity (2θ from 5° to 70°):
| 2θ (°) | I_rel |
| --- | --- |
| 42.7 | 100 |
| 41.5 | 95 |
| 17.3 | 79 |
| 23.6 | 55 |
| 29.4 | 42 |
| 45.2 | 39 |
| 61.0 | 34 |
| 59.4 | 14 |
| 51.6 | 9 |
| 55.4 | 8 |

# 4
Diffraction record for HfMg6Zr. The powder X-ray diffraction pattern is simulated, not measured: it uses the GGA-PBE geometry in the Materials Project and copper Kα.
Kinematic intensities with the Lorentz-polarization factor, no thermal factor.

Crystal structure
a = 5.1008 Å, b = 6.0656 Å, c = 11.6338 Å
α = 90.00°, β = 90.00°, γ = 90.00°
Atoms (fractional coordinates):
Hf 0.0000 0.0000 0.0000
Hf 0.0000 0.5000 0.5000
Mg 0.0000 0.2496 0.2511
Mg 0.0000 0.2504 0.7511
Mg 0.0000 0.7504 0.2511
Mg 0.0000 0.7496 0.7511
Mg 0.5000 0.0000 0.1515
Mg 0.5000 0.0000 0.6538
Mg 0.5000 0.2492 0.4079
Mg 0.5000 0.2508 0.9079
Mg 0.5000 0.5000 0.1538
Mg 0.5000 0.5000 0.6515
Mg 0.5000 0.7492 0.9079
Mg 0.5000 0.7508 0.4079
Zr 0.0000 0.0000 0.5003
Zr 0.0000 0.5000 0.0003

Main lines, by intensity (2θ from 5° to 70°):
| 2θ (°) | I_rel |
| --- | --- |
| 37.8 | 100 |
| 15.2 | 82 |
| 35.5 | 70 |
| 17.4 | 59 |
| 23.2 | 59 |
| 33.3 | 46 |
| 35.2 | 40 |
| 49.2 | 30 |
| 56.3 | 25 |
| 46.8 | 24 |

# 5
Diffraction record for Na2PtO3. The powder X-ray diffraction pattern is simulated, not measured: it uses the GGA-PBE geometry in the Materials Project and copper Kα.
Kinematic intensities with the Lorentz-polarization factor, no thermal factor.

Crystal structure
a = 3.1858 Å, b = 4.4561 Å, c = 9.8850 Å
α = 90.00°, β = 90.00°, γ = 90.00°
Atoms (fractional coordinates):
Na 0.0000 0.0000 0.1709
Na 0.0000 0.0000 0.8291
Na 0.5000 0.5000 0.3291
Na 0.5000 0.5000 0.6709
Pt 0.0000 0.0000 0.5000
Pt 0.5000 0.5000 0.0000
O 0.0000 0.5000 0.1328
O 0.0000 0.5000 0.5000
O 0.0000 0.5000 0.8672
O 0.5000 0.0000 0.0000
O 0.5000 0.0000 0.3672
O 0.5000 0.0000 0.6328

Main lines, by intensity (2θ from 5° to 70°):
| 2θ (°) | I_rel |
| --- | --- |
| 21.9 | 100 |
| 39.3 | 93 |
| 17.9 | 84 |
| 33.8 | 43 |
| 29.5 | 42 |
| 34.6 | 38 |
| 57.7 | 36 |
| 40.5 | 28 |
| 51.1 | 25 |
| 50.9 | 19 |

# 6
Diffraction record for U2Si3Ru. The powder X-ray diffraction pattern is simulated, not measured: it uses the GGA-PBE geometry in the Materials Project and copper Kα.
Kinematic intensities with the Lorentz-polarization factor, no thermal factor.

Crystal structure
a = 8.2020 Å, b = 8.2020 Å, c = 3.7817 Å
α = 90.00°, β = 90.00°, γ = 120.00°
Atoms (fractional coordinates):
U 0.0000 0.0000 0.0000
U 0.0000 0.5000 0.0000
U 0.5000 0.0000 0.0000
U 0.5000 0.5000 0.0000
Si 0.1638 0.3277 0.5095
Si 0.1638 0.8362 0.5095
Si 0.3277 0.1638 0.4905
Si 0.6723 0.8362 0.5095
Si 0.8362 0.1638 0.4905
Si 0.8362 0.6723 0.4905
Ru 0.3333 0.6667 0.4727
Ru 0.6667 0.3333 0.5273

Main lines, by intensity (2θ from 5° to 70°):
| 2θ (°) | I_rel |
| --- | --- |
| 34.6 | 100 |
| 25.1 | 47 |
| 44.2 | 35 |
| 57.3 | 24 |
| 67.4 | 20 |
| 55.0 | 12 |
| 23.5 | 10 |
| 48.1 | 9 |
| 50.6 | 9 |
| 51.5 | 7 |

# 7
Diffraction record for LiZr5TlF22. The powder X-ray diffraction pattern is simulated, not measured: it uses the GGA-PBE geometry in the Materials Project and copper Kα.
Kinematic intensities with the Lorentz-polarization factor, no thermal factor.

Crystal structure
a = 11.8388 Å, b = 8.1633 Å, c = 8.1633 Å
α = 90.00°, β = 90.00°, γ = 90.00°
Atoms (fractional coordinates):
Li 0.0000 0.0000 0.0000
Li 0.0000 0.5000 0.5000
Zr 0.2549 0.1804 0.1804
Zr 0.2549 0.3196 0.6804
Zr 0.2547 0.6798 0.3202
Zr 0.2547 0.8202 0.8202
Zr 0.5000 0.0000 0.5004
Zr 0.5000 0.5000 0.0004
Zr 0.7453 0.1798 0.8202
Zr 0.7453 0.3202 0.3202
Zr 0.7451 0.6804 0.6804
Zr 0.7451 0.8196 0.1804
Tl 0.0000 0.0000 0.4860
Tl 0.0000 0.5000 0.9860
F 0.0876 0.1391 0.1397
F 0.0876 0.3609 0.6397
F 0.0877 0.6394 0.3613
F 0.0877 0.8606 0.8613
F 0.2134 0.2134 0.4297
F 0.2134 0.2866 0.9297
F 0.2134 0.5706 0.7869
F 0.2134 0.9294 0.2869
F 0.2135 0.0707 0.7138
F 0.2135 0.4293 0.2138
F 0.2135 0.7135 0.0710
F 0.2135 0.7865 0.5710
F 0.2999 0.0001 0.0005
F 0.2999 0.4999 0.5005
F 0.4017 0.0864 0.2995
F 0.4018 0.2009 0.5867
F 0.4018 0.2991 0.0867
F 0.4017 0.4136 0.7995
F 0.4018 0.5863 0.2013
F 0.4018 0.7009 0.9140
F 0.4018 0.7991 0.4140
F 0.4018 0.9137 0.7013
F 0.5982 0.0863 0.7013
F 0.5982 0.2009 0.4140
F 0.5982 0.2991 0.9140
F 0.5982 0.4137 0.2013
F 0.5983 0.5864 0.7995
F 0.5982 0.7009 0.0867
F 0.5982 0.7991 0.5867
F 0.5983 0.9136 0.2995
F 0.7001 0.9999 0.0005
F 0.7001 0.5001 0.5005
F 0.7865 0.2135 0.5710
F 0.7865 0.2865 0.0710
F 0.7865 0.5707 0.2138
F 0.7865 0.9293 0.7138
F 0.7866 0.0706 0.2869
F 0.7866 0.4294 0.7869
F 0.7866 0.7134 0.9297
F 0.7866 0.7866 0.4297
F 0.9123 0.1394 0.8613
F 0.9123 0.3606 0.3613
F 0.9124 0.6391 0.6397
F 0.9124 0.8609 0.1397

Main lines, by intensity (2θ from 5° to 70°):
| 2θ (°) | I_rel |
| --- | --- |
| 26.5 | 100 |
| 21.5 | 83 |
| 25.5 | 65 |
| 15.4 | 34 |
| 49.8 | 30 |
| 46.7 | 29 |
| 51.7 | 27 |
| 30.2 | 26 |
| 46.5 | 24 |
| 34.8 | 23 |

# 8
Diffraction record for SrCaSn. The powder X-ray diffraction pattern is simulated, not measured: it uses the GGA-PBE geometry in the Materials Project and copper Kα.
Kinematic intensities with the Lorentz-polarization factor, no thermal factor.

Crystal structure
a = 8.4425 Å, b = 5.1879 Å, c = 9.6928 Å
α = 90.00°, β = 90.00°, γ = 90.00°
Atoms (fractional coordinates):
Sr 0.0215 0.2500 0.1821
Sr 0.4785 0.7500 0.6821
Sr 0.5215 0.2500 0.3179
Sr 0.9785 0.7500 0.8179
Ca 0.1497 0.2500 0.5702
Ca 0.3503 0.7500 0.0702
Ca 0.6497 0.2500 0.9298
Ca 0.8503 0.7500 0.4298
Sn 0.2370 0.7500 0.3900
Sn 0.2630 0.2500 0.8900
Sn 0.7370 0.7500 0.1100
Sn 0.7630 0.2500 0.6100

Main lines, by intensity (2θ from 5° to 70°):
| 2θ (°) | I_rel |
| --- | --- |
| 28.8 | 100 |
| 27.3 | 46 |
| 32.7 | 42 |
| 34.6 | 39 |
| 21.1 | 33 |
| 22.1 | 32 |
| 51.5 | 24 |
| 36.9 | 24 |
| 28.0 | 16 |
| 60.7 | 15 |

# 9
Diffraction record for SmMnB4. The powder X-ray diffraction pattern is simulated, not measured: it uses the GGA-PBE geometry in the Materials Project and copper Kα.
Kinematic intensities with the Lorentz-polarization factor, no thermal factor.

Crystal structure
a = 5.9773 Å, b = 11.5626 Å, c = 3.4717 Å
α = 90.00°, β = 90.00°, γ = 90.00°
Atoms (fractional coordinates):
Sm 0.1246 0.1506 0.0000
Sm 0.3754 0.6506 0.0000
Sm 0.6246 0.3494 0.0000
Sm 0.8754 0.8494 0.0000
Mn 0.1258 0.4169 0.0000
Mn 0.3742 0.9169 0.0000
Mn 0.6258 0.0831 0.0000
Mn 0.8742 0.5831 0.0000
B 0.0253 0.6892 0.5000
B 0.1112 0.5455 0.5000
B 0.1406 0.9675 0.5000
B 0.2227 0.8175 0.5000
B 0.2773 0.3175 0.5000
B 0.3594 0.4675 0.5000
B 0.3888 0.0455 0.5000
B 0.4747 0.1892 0.5000
B 0.5253 0.8108 0.5000
B 0.6112 0.9545 0.5000
B 0.6406 0.5325 0.5000
B 0.7227 0.6825 0.5000
B 0.7773 0.1825 0.5000
B 0.8594 0.0325 0.5000
B 0.8888 0.4545 0.5000
B 0.9747 0.3108 0.5000

Main lines, by intensity (2θ from 5° to 70°):
| 2θ (°) | I_rel |
| --- | --- |
| 40.6 | 100 |
| 30.9 | 84 |
| 25.7 | 66 |
| 38.0 | 38 |
| 27.5 | 34 |
| 21.4 | 25 |
| 43.5 | 24 |
| 62.4 | 23 |
| 33.6 | 23 |
| 46.5 | 21 |

# 10
Diffraction record for MgNb5O9. The powder X-ray diffraction pattern is simulated, not measured: it uses the GGA-PBE geometry in the Materials Project and copper Kα.
Kinematic intensities with the Lorentz-polarization factor, no thermal factor.

Crystal structure
a = 5.6238 Å, b = 5.6238 Å, c = 6.8530 Å
α = 90.00°, β = 90.00°, γ = 120.00°
Atoms (fractional coordinates):
Mg 0.0000 0.0000 0.0000
Nb 0.0000 0.0000 0.5000
Nb 0.3333 0.6667 0.1611
Nb 0.3333 0.6667 0.6815
Nb 0.6667 0.3333 0.3185
Nb 0.6667 0.3333 0.8389
O 0.0000 0.5000 0.5000
O 0.1649 0.3298 0.8324
O 0.1649 0.8351 0.8324
O 0.3298 0.1649 0.1676
O 0.5000 0.0000 0.5000
O 0.5000 0.5000 0.5000
O 0.6702 0.8351 0.8324
O 0.8351 0.1649 0.1676
O 0.8351 0.6702 0.1676

Main lines, by intensity (2θ from 5° to 70°):
| 2θ (°) | I_rel |
| --- | --- |
| 31.8 | 100 |
| 31.9 | 99 |
| 45.7 | 71 |
| 56.7 | 58 |
| 66.5 | 21 |
| 66.8 | 20 |
| 57.0 | 19 |
| 39.3 | 15 |
| 22.4 | 10 |
| 18.2 | 9 |

# 11
Diffraction record for MgVGaS4. The powder X-ray diffraction pattern is simulated, not measured: it uses the GGA-PBE geometry in the Materials Project and copper Kα.
Kinematic intensities with the Lorentz-polarization factor, no thermal factor.

Crystal structure
a = 7.3381 Å, b = 7.3381 Å, c = 7.3381 Å
α = 121.73°, β = 120.35°, γ = 88.21°
Atoms (fractional coordinates):
Mg 0.3745 0.1245 0.2500
Mg 0.6255 0.8755 0.7500
V 0.0000 0.0000 0.5000
V 0.0000 0.5000 0.0000
Ga 0.0000 0.5000 0.5000
Ga 0.5000 0.5000 0.0000
S 0.2173 0.7386 0.4787
S 0.2324 0.2506 0.5182
S 0.2324 0.7142 0.9818
S 0.2401 0.2614 0.9787
S 0.7599 0.7386 0.0213
S 0.7676 0.2858 0.0182
S 0.7676 0.7494 0.4818
S 0.7827 0.2614 0.5213

Main lines, by intensity (2θ from 5° to 70°):
| 2θ (°) | I_rel |
| --- | --- |
| 35.2 | 100 |
| 49.7 | 97 |
| 15.0 | 73 |
| 28.7 | 53 |
| 34.0 | 53 |
| 14.8 | 44 |
| 29.1 | 30 |
| 44.8 | 26 |
| 28.3 | 25 |
| 50.0 | 25 |